1.
Computed X-ray powder pattern
Compound: CrCo
Radiation: Cu Ka
Structure: a DFT-relaxed cell (PBE, Alexandria)
Neutral-atom scattering factors, no anomalous dispersion.

The 7 most intense peaks (15° ≤ 2θ ≤ 90°), in order of rising 2θ:
2θ 22.00, rel. 1; 2θ 41.70, rel. 26; 2θ 44.86, rel. 27; 2θ 47.63, rel. 100; 2θ 62.90, rel. 14; 2θ 76.11, rel. 14; 2θ 84.75, rel. 16

Crystal structure
```
2
Lattice="2.5012 0.0000 0.0000 -1.2506 2.1661 0.0000 0.0000 0.0000 4.0409" Properties=species:S:1:pos:R:3 pbc="T T T"
Cr 0.0000 0.0000 0.0000
Co 1.2506 0.7220 2.0205
```



2.
Computed X-ray powder pattern
Compound: Cr3Co4
Radiation: Cu Ka
Structure: a DFT-relaxed cell (PBE, Alexandria)
Neutral-atom scattering factors, no anomalous dispersion.

The 7 most intense peaks (15° ≤ 2θ ≤ 90°), in order of rising 2θ:
2θ 34.30, rel. 1; 2θ 44.73, rel. 54; 2θ 45.82, rel. 100; 2θ 65.12, rel. 16; 2θ 68.48, rel. 7; 2θ 83.24, rel. 30; 2θ 85.57, rel. 14

Crystal structure
```
7
Lattice="-1.4325 1.4325 9.5911 1.4325 -1.4325 9.5911 1.4325 1.4325 -9.5911" Properties=species:S:1:pos:R:3 pbc="T T T"
Cr 0.0000 0.0000 0.0000
Cr 0.0000 0.0000 5.4531
Cr 0.0000 0.0000 13.7292
Co 0.0000 0.0000 2.7566
Co 0.0000 0.0000 8.2580
Co 0.0000 0.0000 10.9243
Co 0.0000 0.0000 16.4256
```



3.
Computed X-ray powder pattern
Compound: Cr8Co7
Radiation: Cu Ka
Structure: a DFT-relaxed cell (PBE, Alexandria)
Neutral-atom scattering factors, no anomalous dispersion.

The 8 most intense peaks (15° ≤ 2θ ≤ 90°), in order of rising 2θ:
2θ 39.99, rel. 24; 2θ 43.46, rel. 89; 2θ 44.79, rel. 37; 2θ 45.44, rel. 34; 2θ 46.73, rel. 69; 2θ 48.14, rel. 100; 2θ 49.36, rel. 50; 2θ 78.49, rel. 20

Crystal structure
```
30
Lattice="8.5852 0.0000 0.0000 0.0000 8.5852 0.0000 0.0000 0.0000 4.5087" Properties=species:S:1:pos:R:3 pbc="T T T"
Cr 0.3157 3.1738 0.0000
Cr 0.8835 0.8835 0.0188
Cr 1.1188 4.6083 2.2543
Cr 1.5075 7.0777 3.4214
Cr 2.7851 2.7851 1.1670
Cr 3.1738 0.3157 0.0000
Cr 3.4091 5.1761 2.2732
Cr 3.9769 7.4664 2.2543
Cr 4.6083 1.1188 2.2543
Cr 5.1761 3.4091 2.2732
Cr 5.4114 8.2695 0.0000
Cr 5.8001 5.8001 1.1670
Cr 7.0777 1.5075 3.4214
Cr 7.4664 3.9769 2.2543
Cr 7.7017 7.7017 0.0188
Cr 8.2695 5.4114 0.0000
Co 0.0000 0.0000 2.2411
Co 0.5637 2.2530 2.2253
Co 1.6326 6.9526 1.1645
Co 2.0396 4.8563 4.4796
Co 2.2530 0.5637 2.2253
Co 2.6600 2.6600 3.4189
Co 3.7289 6.5456 4.4796
Co 4.2926 4.2926 4.4954
Co 4.8563 2.0396 4.4796
Co 5.9252 5.9252 3.4189
Co 6.3322 8.0215 2.2253
Co 6.5456 3.7289 4.4796
Co 6.9526 1.6326 1.1645
Co 8.0215 6.3322 2.2253
```



Number 1 is which compound?
CrCo



Number 1 is which compound?
CrCo



Number 3 is which compound?
Cr8Co7